No. 1
Theoretical powder X-ray diffraction pattern
Compound: AlHgBr
Radiation: Cu Kα, 1.54184 Å
Structure: a GGA-PBE-relaxed structure

Structural model:
Unit cell a=8.6251 b=8.2790 c=3.5084 alpha=83.62 beta=72.54 gamma=23.84
Fractional coordinates of all 3 atoms:
Al: 0.0000 0.0000 0.0000
Hg: 0.6535 0.6535 0.3465
Br: 0.3843 0.3843 0.6157

The 10 most intense peaks (10° ≤ 2θ ≤ 90°), most intense first:
2θ (°)  Rel. int.
33.46  100.0
29.46  65.2
22.00  62.7
10.95  50.0
29.65  45.5
37.22  33.4
49.28  28.6
40.40  26.4
55.08  24.3
59.97  20.8


No. 2
Theoretical powder X-ray diffraction pattern
Compound: Sr2TmCd2Bi4
Radiation: Cu Kα, 1.54184 Å
Structure: a GGA-PBE-relaxed structure

Structural model:
Unit cell a=8.7449 b=8.7449 c=7.9775 alpha=110.86 beta=110.86 gamma=30.86
Fractional coordinates of all 9 atoms:
Sr: 0.1309 0.1309 0.1030
Sr: 0.8691 0.8691 0.8970
Tm: 0.0000 0.0000 0.5000
Cd: 0.3285 0.3285 0.5171
Cd: 0.6715 0.6715 0.4829
Bi: 0.2037 0.2037 0.7337
Bi: 0.4923 0.4923 0.2243
Bi: 0.5077 0.5077 0.7757
Bi: 0.7963 0.7963 0.2663

The 10 most intense peaks (10° ≤ 2θ ≤ 90°), most intense first:
2θ (°)  Rel. int.
30.64  100.0
31.00  67.4
38.71  42.2
39.68  39.1
29.67  33.8
31.85  31.1
25.64  26.7
43.35  26.5
34.34  24.1
22.15  22.3


Question: Number 1 is which compound?
Answer: AlHgBr